Ba4Eu2Cu6O13: calculated powder diffractogram (Cu Kα X-rays), based on a structure optimized by DFT (PBE).

Structural model:
abc: 12.7367 12.7145 5.5331
angles: 77.67 77.22 25.11
Element x y z (fractional)
Ba  0.1470  0.6620  0.8530
Ba  0.3380  0.8530  0.6620
Ba  0.6620  0.1470  0.3380
Ba  0.8530  0.3380  0.1470
Eu  0.0000  0.5000  0.0000
Eu  0.5000  0.0000  0.5000
Cu  0.0710  0.5685  0.4315
Cu  0.2395  0.7605  0.2395
Cu  0.4315  0.9290  0.0710
Cu  0.5685  0.0710  0.9290
Cu  0.7605  0.2395  0.7605
Cu  0.9290  0.4315  0.5685
O  0.0000  0.0000  0.0000
O  0.1849  0.1849  0.8151
O  0.1867  0.1867  0.3133
O  0.1987  0.6524  0.3476
O  0.3124  0.3124  0.6876
O  0.3133  0.3133  0.1867
O  0.3476  0.8013  0.1987
O  0.6524  0.1987  0.8013
O  0.6867  0.6867  0.8133
O  0.6876  0.6876  0.3124
O  0.8013  0.3476  0.6524
O  0.8133  0.8133  0.6867
O  0.8151  0.8151  0.1849

Largest 6 diffraction maxima, in order of falling intensity, 2θ from 15° to 90°:
2.766 Å, 32.37 deg, I 1000
2.796 Å, 32.01 deg, I 947
2.823 Å, 31.70 deg, I 916
1.613 Å, 57.11 deg, I 359
1.598 Å, 57.70 deg, I 325
1.974 Å, 45.97 deg, I 283

***

Ba4PrEuCu6O14: calculated powder diffractogram (Cu Kα X-rays), based on a structure optimized by DFT (PBE).

Structural model:
abc: 12.5655 12.5655 3.8845
angles: 90.00 90.00 143.46
Element x y z (fractional)
Ba  0.1601  0.8399  0.0000
Ba  0.3394  0.6606  0.0000
Ba  0.6606  0.3394  0.0000
Ba  0.8399  0.1601  0.0000
Pr  0.5000  0.5000  0.0000
Eu  0.0000  0.0000  0.0000
Cu  0.0000  0.5000  0.5000
Cu  0.1715  0.3250  0.5000
Cu  0.3250  0.1715  0.5000
Cu  0.5000  0.0000  0.5000
Cu  0.6750  0.8285  0.5000
Cu  0.8285  0.6750  0.5000
O  0.0635  0.9365  0.5000
O  0.0785  0.4214  0.5000
O  0.1838  0.3127  0.0000
O  0.2499  0.7501  0.5000
O  0.3127  0.1838  0.0000
O  0.4214  0.0785  0.5000
O  0.4351  0.5649  0.5000
O  0.5649  0.4351  0.5000
O  0.5786  0.9215  0.5000
O  0.6873  0.8162  0.0000
O  0.7501  0.2499  0.5000
O  0.8162  0.6873  0.0000
O  0.9215  0.5786  0.5000
O  0.9365  0.0635  0.5000

Largest 6 diffraction maxima, in order of falling intensity, 2θ from 15° to 90°:
2.779 Å, 32.21 deg, I 1000
2.766 Å, 32.37 deg, I 912
2.799 Å, 31.98 deg, I 906
1.607 Å, 57.34 deg, I 376
1.615 Å, 57.04 deg, I 361
1.596 Å, 57.78 deg, I 334

***

BaSrEuCu3O7: calculated powder diffractogram (Cu Kα X-rays), based on a structure optimized by DFT (PBE).

Structural model:
abc: 3.8007 3.9127 11.8004
angles: 90.00 90.00 90.00
Element x y z (fractional)
Ba  0.0000  0.0000  0.0000
Sr  0.0000  0.0000  0.3582
Eu  0.0000  0.0000  0.6742
Cu  0.5000  0.5000  0.1828
Cu  0.5000  0.5000  0.5194
Cu  0.5000  0.5000  0.8286
O  0.0000  0.5000  0.5458
O  0.0000  0.5000  0.8028
O  0.5000  0.0000  0.1932
O  0.5000  0.0000  0.5421
O  0.5000  0.0000  0.8051
O  0.5000  0.5000  0.0241
O  0.5000  0.5000  0.3410

Largest 6 diffraction maxima, in order of falling intensity, 2θ from 15° to 90°:
2.730 Å, 32.81 deg, I 1000
2.774 Å, 32.27 deg, I 480
1.591 Å, 57.97 deg, I 199
1.595 Å, 57.81 deg, I 192
1.568 Å, 58.91 deg, I 171
1.956 Å, 46.41 deg, I 149

***

BaCu2F4: calculated powder diffractogram (Cu Kα X-rays), based on a structure optimized by DFT (PBE).

Structural model:
abc: 6.5921 6.5921 4.7596
angles: 90.00 90.00 90.00
Element x y z (fractional)
Ba  0.0000  0.0000  0.0000
Ba  0.5000  0.5000  0.5000
Cu  0.0000  0.5000  0.2500
Cu  0.0000  0.5000  0.7500
Cu  0.5000  0.0000  0.2500
Cu  0.5000  0.0000  0.7500
F  0.1416  0.2754  0.5000
F  0.2246  0.6416  0.0000
F  0.2754  0.8584  0.5000
F  0.3584  0.2246  0.0000
F  0.6416  0.7754  0.0000
F  0.7246  0.1416  0.5000
F  0.7754  0.3584  0.0000
F  0.8584  0.7246  0.5000

Largest 6 diffraction maxima, in order of falling intensity, 2θ from 15° to 90°:
3.296 Å, 27.05 deg, I 1000
2.506 Å, 35.83 deg, I 992
2.120 Å, 42.66 deg, I 801
3.859 Å, 23.05 deg, I 746
1.568 Å, 58.90 deg, I 712
2.331 Å, 38.63 deg, I 631

***

Ba2Cu5F14: calculated powder diffractogram (Cu Kα X-rays), based on a structure optimized by DFT (PBE).

Structural model:
abc: 9.8221 9.8221 10.4809
angles: 114.74 114.74 39.91
Element x y z (fractional)
Ba  0.0491  0.2784  0.1334
Ba  0.2784  0.0491  0.6334
Ba  0.7216  0.9509  0.3666
Ba  0.9509  0.7216  0.8666
Cu  0.1477  0.8523  0.7500
Cu  0.2083  0.4459  0.5094
Cu  0.3223  0.6083  0.3607
Cu  0.3917  0.6777  0.1393
Cu  0.4459  0.2083  0.0094
Cu  0.5541  0.7917  0.9906
Cu  0.6083  0.3223  0.8607
Cu  0.6777  0.3917  0.6393
Cu  0.7917  0.5541  0.4906
Cu  0.8523  0.1477  0.2500
F  0.0338  0.7451  0.6027
F  0.0365  0.8990  0.3570
F  0.1010  0.9635  0.1430
F  0.1464  0.4106  0.6369
F  0.1739  0.3305  0.8948
F  0.1940  0.5241  0.3566
F  0.2549  0.9662  0.8973
F  0.2908  0.5551  0.1091
F  0.3158  0.6133  0.8658
F  0.3305  0.1739  0.3948
F  0.3867  0.6842  0.6342
F  0.4106  0.1464  0.1369
F  0.4449  0.7092  0.3909
F  0.4759  0.8060  0.1434
F  0.5241  0.1940  0.8566
F  0.5551  0.2908  0.6091
F  0.5894  0.8536  0.8631
F  0.6133  0.3158  0.3658
F  0.6695  0.8261  0.6052
F  0.6842  0.3867  0.1342
F  0.7092  0.4449  0.8909
F  0.7451  0.0338  0.1027
F  0.8060  0.4759  0.6434
F  0.8261  0.6695  0.1052
F  0.8536  0.5894  0.3631
F  0.8990  0.0365  0.8570
F  0.9635  0.1010  0.6430
F  0.9662  0.2549  0.3973

Largest 6 diffraction maxima, in order of falling intensity, 2θ from 15° to 90°:
3.473 Å, 25.65 deg, I 1000
3.135 Å, 28.47 deg, I 634
2.346 Å, 38.38 deg, I 623
3.157 Å, 28.27 deg, I 600
2.812 Å, 31.82 deg, I 499
2.440 Å, 36.84 deg, I 450

***

Ba2CuF5: calculated powder diffractogram (Cu Kα X-rays), based on a structure optimized by DFT (PBE).

Structural model:
abc: 5.1380 5.5854 6.4644
angles: 67.85 70.75 69.33
Element x y z (fractional)
Ba  0.0000  0.0000  0.0000
Ba  0.4686  0.5195  0.5455
Cu  0.2682  0.2423  0.2925
F  0.2541  0.4862  0.9948
F  0.3393  0.0127  0.5868
F  0.5030  0.8696  0.1288
F  0.8518  0.1708  0.3474
F  0.9241  0.4584  0.6784

Largest 6 diffraction maxima, in order of falling intensity, 2θ from 15° to 90°:
3.337 Å, 26.71 deg, I 1000
3.303 Å, 26.99 deg, I 794
2.550 Å, 35.19 deg, I 750
4.138 Å, 21.48 deg, I 642
3.041 Å, 29.37 deg, I 635
4.506 Å, 19.70 deg, I 577

***

Q: Number 1 is which compound?
A: Ba4Eu2Cu6O13